For AlRh5, a crystal structure in Alexandria, relaxed with PBE gives the simulated powder XRD pattern in this record (Cu Kα (weighted mean of Kα1 and Kα2)).

a b c (Å): 2.783 2.783 10.869
angles (deg): 90.00 90.00 90.00
Space group P4/mmm (No. 123)
Asymmetric unit:
Al 0.000 0.000 0.000 [1 per cell]
Rh 0.000 0.000 0.329 [2 per cell]
Rh 0.500 0.500 0.151 [2 per cell]
Rh 0.500 0.500 0.500 [1 per cell]

Most intense lines, 2θ from 10° to 90°, in order of rising 2θ:
d_spacing  I (rel.)
2.696  5
2.477  8
2.207  100
1.968  36
1.811  12
1.459  4
1.391  12
1.333  17
1.221  4
1.177  26
1.108  8
1.103  10